Starting from a DFT-relaxed cell (PBE, Alexandria), the powder X-ray diffraction pattern of La8AlZn2 was simulated for Cu Kα.
Intensities are scaled so that the largest is 100.

Top 10 peaks for 2θ from 10° to 80°, sorted by position:
2θ (°), I (rel.)
25.47, 22.8
29.04, 81.0
29.20, 75.7
29.37, 32.5
29.84, 100.0
31.46, 64.0
32.41, 85.0
33.28, 33.8
34.91, 82.3
57.73, 35.0

```
La8AlZn2
1.0
9.2505 -2.5701 0.0000
9.2505 2.5701 0.0000
-3.0176 0.0000 7.2008
La Al Zn
8 1 2
Direct
0.0264 0.0264 0.2693 La
0.1916 0.1916 0.7979 La
0.3268 0.3268 0.5245 La
0.4126 0.4126 0.0416 La
0.5874 0.5874 0.9584 La
0.6732 0.6732 0.4755 La
0.8084 0.8084 0.2021 La
0.9736 0.9736 0.7307 La
0.5000 0.5000 0.5000 Al
0.1782 0.1782 0.1797 Zn
0.8218 0.8218 0.8203 Zn
```